Record 1
Diffraction record for CaMn2O4. The X-ray powder pattern is calculated, not measured: it uses a crystal structure in the Materials Project, relaxed with GGA+U and Cu Kα X-rays.

```
data_CaMn2O4
_cell_length_a 14.636
_cell_length_b 2.983
_cell_length_c 9.479
_cell_angle_alpha 90.00
_cell_angle_beta 121.05
_cell_angle_gamma 90.00
_symmetry_space_group_name_H-M 'C 1 2/m 1'
_symmetry_Int_Tables_number 12
loop_
_symmetry_equiv_pos_as_xyz
'x,y,z'
'-x,-y,-z'
'-x,y,-z'
'x,-y,z'
'x+1/2,y+1/2,z'
'-x+1/2,-y+1/2,-z'
'-x+1/2,y+1/2,-z'
'x+1/2,-y+1/2,z'
loop_
_atom_site_label
_atom_site_type_symbol
_atom_site_fract_x
_atom_site_fract_y
_atom_site_fract_z
Ca1 Ca 0.161 0.000 0.176
Mn1 Mn 0.102 0.000 0.813
Mn2 Mn 0.146 0.500 0.484
O1 O 0.067 0.000 0.333
O2 O 0.114 0.500 0.967
O3 O 0.129 0.500 0.708
O4 O 0.246 0.000 0.618
```

Peak list (10 most intense, 2θ = 15–90°, most intense first)
28.5°, d 3.136, I 100.0, hkl 4 0 0; 49.1°, d 1.854, I 78.7, hkl 3 1 -4; 30.5°, d 2.928, I 41.1, hkl 4 0 -3; 40.3°, d 2.238, I 40.0, hkl 1 1 2; 35.3°, d 2.545, I 33.3, hkl 3 1 -1; 57.0°, d 1.616, I 26.9, hkl 7 1 -4; 33.1°, d 2.707, I 26.4, hkl 0 0 3; 55.8°, d 1.648, I 26.4, hkl 7 1 -1; 18.9°, d 4.685, I 26.1, hkl 2 0 -2; 41.9°, d 2.156, I 21.2, hkl 3 1 1



Record 2
Diffraction record for CaMn2O4. The X-ray powder pattern is calculated, not measured: it uses a crystal structure in the Materials Project, relaxed with GGA+U and Cu Kα X-rays.

```
data_CaMn2O4
_cell_length_a 6.054
_cell_length_b 6.473
_cell_length_c 15.566
_cell_angle_alpha 93.85
_cell_angle_beta 90.19
_cell_angle_gamma 117.81
_symmetry_space_group_name_H-M 'P 1'
_symmetry_Int_Tables_number 1
loop_
_symmetry_equiv_pos_as_xyz
'x,y,z'
loop_
_atom_site_label
_atom_site_type_symbol
_atom_site_fract_x
_atom_site_fract_y
_atom_site_fract_z
Ca1 Ca 0.000 0.000 0.000
Ca2 Ca 0.000 0.008 0.390
Ca3 Ca 0.327 0.670 0.105
Ca4 Ca 0.336 0.666 0.341
Ca5 Ca 0.346 0.696 0.730
Ca6 Ca 0.674 0.349 0.675
Mn1 Mn 0.003 0.516 0.894
Mn2 Mn 0.011 0.024 0.773
Mn3 Mn 0.171 0.847 0.559
Mn4 Mn 0.173 0.357 0.557
Mn5 Mn 0.327 0.160 0.223
Mn6 Mn 0.506 0.516 0.894
Mn7 Mn 0.513 0.031 0.898
Mn8 Mn 0.660 0.342 0.444
Mn9 Mn 0.663 0.337 0.060
Mn10 Mn 0.668 0.842 0.559
Mn11 Mn 0.827 0.166 0.221
Mn12 Mn 0.834 0.676 0.215
O1 O 0.034 0.011 0.145
O2 O 0.045 0.557 0.617
O3 O 0.141 0.290 0.288
O4 O 0.162 0.861 0.278
O5 O 0.185 0.380 0.820
O6 O 0.195 0.872 0.832
O7 O 0.306 0.150 0.498
O8 O 0.326 0.657 0.962
O9 O 0.349 0.713 0.484
O10 O 0.392 0.207 0.975
O11 O 0.476 0.522 0.625
O12 O 0.481 0.970 0.629
O13 O 0.509 0.458 0.153
O14 O 0.522 0.052 0.152
O15 O 0.614 0.304 0.307
O16 O 0.673 0.874 0.831
O17 O 0.687 0.382 0.823
O18 O 0.696 0.853 0.277
O19 O 0.807 0.620 0.974
O20 O 0.809 0.205 0.978
O21 O 0.850 0.710 0.484
O22 O 0.861 0.188 0.488
O23 O 0.941 0.464 0.153
O24 O 0.989 0.977 0.635
```

Peak list (10 most intense, 2θ = 15–90°, most intense first)
34.3°, d 2.618, I 100.0, hkl -2 2 1; 31.7°, d 2.820, I 96.3, hkl 1 1 -3; 57.2°, d 1.611, I 62.2, hkl 2 -4 0; 17.1°, d 5.173, I 61.8, hkl 0 0 3; 31.4°, d 2.846, I 47.5, hkl 0 2 -1; 33.7°, d 2.657, I 46.1, hkl -1 2 3; 37.6°, d 2.389, I 42.2, hkl 0 2 -4; 27.9°, d 3.196, I 38.5, hkl 1 0 -4; 34.0°, d 2.640, I 30.9, hkl 1 0 5; 41.7°, d 2.168, I 30.9, hkl -2 2 4



Record 3
Diffraction record for CaMn3O6. The X-ray powder pattern is calculated, not measured: it uses a crystal structure in the Materials Project, relaxed with GGA+U and Cu Kα X-rays.

```
data_CaMn3O6
_cell_length_a 13.971
_cell_length_b 2.962
_cell_length_c 5.729
_cell_angle_alpha 90.00
_cell_angle_beta 91.63
_cell_angle_gamma 90.00
_symmetry_space_group_name_H-M 'C 1 m 1'
_symmetry_Int_Tables_number 8
loop_
_symmetry_equiv_pos_as_xyz
'x,y,z'
'x,-y,z'
'x+1/2,y+1/2,z'
'x+1/2,-y+1/2,z'
loop_
_atom_site_label
_atom_site_type_symbol
_atom_site_fract_x
_atom_site_fract_y
_atom_site_fract_z
Ca1 Ca 0.000 0.000 0.000
Mn1 Mn 0.040 0.500 0.493
Mn2 Mn 0.221 0.000 0.862
Mn3 Mn 0.344 0.500 0.381
O1 O 0.098 0.000 0.333
O2 O 0.120 0.500 0.796
O3 O 0.285 0.000 0.536
O4 O 0.289 0.500 0.012
O5 O 0.433 0.000 0.252
O6 O 0.468 0.500 0.625
```

Peak list (10 most intense, 2θ = 15–90°, most intense first)
39.1°, d 2.303, I 100.0, hkl 3 1 -1; 19.8°, d 4.491, I 94.1, hkl 2 0 -1; 30.4°, d 2.944, I 83.3, hkl 4 0 1; 34.8°, d 2.579, I 73.8, hkl 1 1 1; 31.2°, d 2.863, I 60.5, hkl 0 0 2; 35.9°, d 2.499, I 50.6, hkl 3 1 0; 58.0°, d 1.590, I 50.5, hkl 1 1 3; 29.6°, d 3.019, I 50.2, hkl 4 0 -1; 25.5°, d 3.491, I 47.6, hkl 4 0 0; 47.1°, d 1.928, I 42.6, hkl 5 1 -1



Record 4
Diffraction record for CaMn4O6. The X-ray powder pattern is calculated, not measured: it uses a crystal structure in the Materials Project, relaxed with GGA+U and Cu Kα X-rays.

```
data_CaMn4O6
_cell_length_a 3.161
_cell_length_b 15.609
_cell_length_c 5.403
_cell_angle_alpha 90.00
_cell_angle_beta 106.92
_cell_angle_gamma 90.00
_symmetry_space_group_name_H-M 'P 1 21/m 1'
_symmetry_Int_Tables_number 11
loop_
_symmetry_equiv_pos_as_xyz
'x,y,z'
'-x,-y,-z'
'-x,y+1/2,-z'
'x,-y+1/2,z'
loop_
_atom_site_label
_atom_site_type_symbol
_atom_site_fract_x
_atom_site_fract_y
_atom_site_fract_z
Ca1 Ca 0.162 0.250 0.324
Mn1 Mn 0.092 0.635 0.184
Mn2 Mn 0.363 0.543 0.726
O1 O 0.000 0.000 0.000
O2 O 0.178 0.750 0.357
O3 O 0.278 0.074 0.556
O4 O 0.448 0.653 0.897
```

Peak list (10 most intense, 2θ = 15–90°, most intense first)
33.5°, d 2.672, I 100.0, hkl 0 5 1; 40.4°, d 2.232, I 90.9, hkl 1 2 1; 58.4°, d 1.581, I 55.8, hkl 2 0 -1; 42.5°, d 2.126, I 54.8, hkl 1 3 1; 39.1°, d 2.304, I 53.1, hkl 1 1 1; 31.7°, d 2.819, I 38.8, hkl 1 2 0; 34.3°, d 2.614, I 36.8, hkl 1 3 0; 56.1°, d 1.640, I 34.0, hkl 1 8 0; 34.7°, d 2.585, I 30.4, hkl 0 0 2; 28.7°, d 3.115, I 23.2, hkl 0 4 1



Record 5
Diffraction record for Ca5Mn8O13. The X-ray powder pattern is calculated, not measured: it uses a crystal structure in the Materials Project, relaxed with GGA+U and Cu Kα X-rays.

```
data_Ca5Mn8O13
_cell_length_a 3.2908
_cell_length_b 3.2908
_cell_length_c 103.4991
_cell_angle_alpha 90.00
_cell_angle_beta 90.00
_cell_angle_gamma 120.00
_symmetry_space_group_name_H-M 'R 3 m'
_symmetry_Int_Tables_number 160
_symmetry_space_group_name_Hall 'R 3 -2"'
loop_
_atom_site_label
_atom_site_type_symbol
_atom_site_fract_x
_atom_site_fract_y
_atom_site_fract_z
Ca1 Ca 0.0000 0.0000 0.0000
Ca2 Ca 0.0000 0.0000 0.0763
Ca3 Ca 0.0000 0.0000 0.1548
Ca4 Ca 0.0000 0.0000 0.4608
Ca5 Ca 0.0000 0.0000 0.8490
Mn1 Mn 0.0000 0.0000 0.2326
Mn2 Mn 0.0000 0.0000 0.3071
Mn3 Mn 0.0000 0.0000 0.3839
Mn4 Mn 0.0000 0.0000 0.5414
Mn5 Mn 0.0000 0.0000 0.6155
Mn6 Mn 0.0000 0.0000 0.6927
Mn7 Mn 0.0000 0.0000 0.7685
Mn8 Mn 0.0000 0.0000 0.9240
O1 O 0.0000 0.0000 0.0384
O2 O 0.0000 0.0000 0.1140
O3 O 0.0000 0.0000 0.1958
O4 O 0.0000 0.0000 0.2697
O5 O 0.0000 0.0000 0.3470
O6 O 0.0000 0.0000 0.4231
O7 O 0.0000 0.0000 0.5019
O8 O 0.0000 0.0000 0.5782
O9 O 0.0000 0.0000 0.6529
O10 O 0.0000 0.0000 0.7295
O11 O 0.0000 0.0000 0.8078
O12 O 0.0000 0.0000 0.8870
O13 O 0.0000 0.0000 0.9613
```

Peak list (10 most intense, 2θ = 15–90°, most intense first)
38.9°, d 2.317, I 100.0, hkl 0 1 26; 33.4°, d 2.683, I 41.2, hkl 1 0 13; 55.9°, d 1.645, I 31.4, hkl 1 1 0; 56.4°, d 1.632, I 25.3, hkl 1 0 52; 70.1°, d 1.342, I 14.3, hkl 2 0 26; 33.8°, d 2.654, I 12.4, hkl 0 0 39; 66.9°, d 1.398, I 10.2, hkl 1 1 39; 83.4°, d 1.159, I 6.9, hkl 0 2 52; 66.7°, d 1.403, I 5.6, hkl 0 2 13; 67.4°, d 1.390, I 4.3, hkl 0 1 65



Record 6
Diffraction record for CaMn4O8. The X-ray powder pattern is calculated, not measured: it uses a crystal structure in the Materials Project, relaxed with GGA+U and Cu Kα X-rays.

```
data_CaMn4O8
_cell_length_a 5.810
_cell_length_b 11.555
_cell_length_c 9.407
_cell_angle_alpha 90.00
_cell_angle_beta 90.00
_cell_angle_gamma 90.00
_symmetry_space_group_name_H-M 'C m c 21'
_symmetry_Int_Tables_number 36
loop_
_symmetry_equiv_pos_as_xyz
'x,y,z'
'-x,-y,z+1/2'
'-x,y,z'
'x,-y,z+1/2'
'x+1/2,y+1/2,z'
'-x+1/2,-y+1/2,z+1/2'
'-x+1/2,y+1/2,z'
'x+1/2,-y+1/2,z+1/2'
loop_
_atom_site_label
_atom_site_type_symbol
_atom_site_fract_x
_atom_site_fract_y
_atom_site_fract_z
Ca1 Ca 0.000 0.133 0.000
Mn1 Mn 0.000 0.162 0.319
Mn2 Mn 0.000 0.346 0.811
Mn3 Mn 0.248 0.381 0.101
O1 O 0.000 0.056 0.482
O2 O 0.000 0.188 0.706
O3 O 0.000 0.290 0.183
O4 O 0.000 0.449 0.983
O5 O 0.241 0.082 0.215
O6 O 0.246 0.267 0.916
```

Peak list (10 most intense, 2θ = 15–90°, most intense first)
18.0°, d 4.923, I 100.0, hkl 0 2 1; 32.5°, d 2.756, I 61.7, hkl 0 2 3; 35.9°, d 2.502, I 35.9, hkl 2 2 1; 48.5°, d 1.878, I 32.4, hkl 2 4 2; 31.0°, d 2.889, I 30.7, hkl 0 4 0; 36.3°, d 2.472, I 28.5, hkl 2 0 2; 45.4°, d 2.000, I 27.3, hkl 2 2 3; 60.8°, d 1.523, I 20.1, hkl 2 2 5; 39.7°, d 2.272, I 16.9, hkl 2 2 2; 58.3°, d 1.582, I 15.7, hkl 2 6 1